No. 1
This entry pairs a crystal structure of NbVCN with its calculated PXRD pattern. Radiation: Cu Kα (λ = 1.5418 Å). Structure: a GGA-PBE-relaxed structure.

Top 12 peaks for 10° ≤ 2θ ≤ 80°, in order of falling intensity:
2θ 35.8, rel. 100, (1 0 1)
2θ 41.4, rel. 63, (1 1 0)
2θ 60.4, rel. 37, (1 1 2)
2θ 42.0, rel. 30, (0 0 2)
2θ 71.8, rel. 26, (2 1 1)
2θ 59.9, rel. 19, (2 0 0)
2θ 75.9, rel. 18, (2 0 2)
2θ 28.9, rel. 14, (1 0 0)
2θ 72.7, rel. 13, (1 0 3)
2θ 20.6, rel. 12, (0 0 1)
2θ 46.7, rel. 6, (1 1 1)
2θ 51.8, rel. 6, (1 0 2)

Atomic structure:
```
data_NbVCN
_chemical_formula_sum 'Nb1 V1 C1 N1'
_cell_length_a 3.086
_cell_length_b 3.086
_cell_length_c 4.303
_cell_angle_alpha 90.00
_cell_angle_beta 90.00
_cell_angle_gamma 90.00
_space_group_name_H-M_alt 'P 4/m m m'
_space_group_IT_number 123
_space_group_name_Hall '-P 4 2'
loop_
_atom_site_label
_atom_site_fract_x
_atom_site_fract_y
_atom_site_fract_z
Nb1 0.000 0.000 0.000
V1 0.500 0.500 0.500
C1 0.500 0.500 0.000
N1 0.000 0.000 0.500
```

No. 2
This entry pairs a crystal structure of NbVCN with its calculated PXRD pattern. Radiation: Cu Kα (λ = 1.5418 Å). Structure: a GGA-PBE-relaxed structure.

Top 12 peaks for 10° ≤ 2θ ≤ 80°, in order of falling intensity:
2θ 41.7, rel. 100, (1 0 4)
2θ 35.8, rel. 82, (0 1 2)
2θ 60.3, rel. 31, (1 1 0)
2θ 72.2, rel. 31, (2 0 2)
2θ 60.5, rel. 28, (0 1 8)
2θ 36.0, rel. 26, (0 0 6)
2θ 17.8, rel. 21, (0 0 3)
2θ 75.9, rel. 15, (0 2 4)
2θ 34.2, rel. 14, (1 0 1)
2θ 45.6, rel. 9, (0 1 5)
2θ 72.4, rel. 9, (1 0 10)
2θ 55.1, rel. 8, (0 0 9)

Atomic structure:
```
data_NbVCN
_chemical_formula_sum 'Nb3 V3 C3 N3'
_cell_length_a 3.0706
_cell_length_b 3.0706
_cell_length_c 14.9839
_cell_angle_alpha 90.00
_cell_angle_beta 90.00
_cell_angle_gamma 120.00
_space_group_name_H-M_alt 'R 3 m'
_space_group_IT_number 160
_space_group_name_Hall 'R 3 -2"'
loop_
_atom_site_label
_atom_site_fract_x
_atom_site_fract_y
_atom_site_fract_z
Nb1 0.0000 0.0000 0.0000
V1 0.0000 0.0000 0.5128
C1 0.0000 0.0000 0.2471
N1 0.0000 0.0000 0.7574
```

No. 3
This entry pairs a crystal structure of NdC6N9 with its calculated PXRD pattern. Radiation: Cu Kα (λ = 1.5418 Å). Structure: a GGA-PBE-relaxed structure.

Top 12 peaks for 10° ≤ 2θ ≤ 80°, in order of falling intensity:
2θ 15.9, rel. 100, (1 1 1)
2θ 14.9, rel. 35, (0 2 0)
2θ 26.6, rel. 31, (1 3 1)
2θ 28.8, rel. 28, (1 1 3)
2θ 21.6, rel. 21, (1 1 2)
2θ 16.8, rel. 20, (0 0 2)
2θ 30.4, rel. 17, (1 3 2)
2θ 36.2, rel. 14, (3 1 1)
2θ 37.5, rel. 14, (2 2 3)
2θ 32.2, rel. 13, (2 2 2)
2θ 31.3, rel. 13, (0 4 1)
2θ 36.0, rel. 13, (1 3 3)

Atomic structure:
```
data_NdC6N9
_chemical_formula_sum 'Nd4 C24 N36'
_cell_length_a 7.850
_cell_length_b 11.874
_cell_length_c 10.560
_cell_angle_alpha 90.00
_cell_angle_beta 90.00
_cell_angle_gamma 90.00
_space_group_name_H-M_alt 'C m c m'
_space_group_IT_number 63
_space_group_name_Hall '-C 2c 2'
loop_
_atom_site_label
_atom_site_fract_x
_atom_site_fract_y
_atom_site_fract_z
Nd1 0.000 0.215 0.250
C1 0.144 0.087 0.750
C2 0.145 0.354 0.553
N1 0.000 0.032 0.750
N2 0.000 0.344 0.006
N3 0.219 0.139 0.099
N4 0.223 0.368 0.250
```

No. 4
This entry pairs a crystal structure of NdSi6C18N3 with its calculated PXRD pattern. Radiation: Cu Kα (λ = 1.5418 Å). Structure: a GGA-PBE-relaxed structure.

Top 12 peaks for 10° ≤ 2θ ≤ 80°, in order of falling intensity:
2θ 20.9, rel. 100, (2 2 -1)
2θ 15.8, rel. 96, (1 1 -1)
2θ 25.0, rel. 60, (1 7 0)
2θ 35.1, rel. 59, (3 5 1)
2θ 26.1, rel. 51, (3 3 0)
2θ 33.8, rel. 45, (1 3 2)
2θ 18.3, rel. 40, (1 1 1)
2θ 24.6, rel. 38, (2 2 1)
2θ 42.0, rel. 37, (5 3 0)
2θ 31.1, rel. 34, (3 5 -1)
2θ 30.7, rel. 32, (3 1 1)
2θ 31.3, rel. 31, (2 6 1)

Atomic structure:
```
data_NdSi6C18N3
_chemical_formula_sum 'Nd4 Si24 C72 N12'
_cell_length_a 11.277
_cell_length_b 26.289
_cell_length_c 6.108
_cell_angle_alpha 90.00
_cell_angle_beta 100.16
_cell_angle_gamma 90.00
_space_group_name_H-M_alt 'C 1 2/c 1'
_space_group_IT_number 15
loop_
_space_group_symop_operation_xyz
'x,y,z'
'-x,-y,-z'
'-x,y,-z+1/2'
'x,-y,z+1/2'
'x+1/2,y+1/2,z'
'-x+1/2,-y+1/2,-z'
'-x+1/2,y+1/2,-z+1/2'
'x+1/2,-y+1/2,z+1/2'
loop_
_atom_site_label
_atom_site_fract_x
_atom_site_fract_y
_atom_site_fract_z
Nd1 0.000 0.151 0.250
Si1 0.097 0.276 0.129
Si2 0.128 0.029 0.428
Si3 0.207 0.130 0.690
C1 0.056 0.290 0.816
C2 0.134 0.023 0.130
C3 0.150 0.070 0.039
C4 0.159 0.113 0.947
C5 0.163 0.329 0.330
C6 0.172 0.284 0.743
C7 0.187 0.193 0.537
C8 0.209 0.306 0.550
C9 0.236 0.242 0.101
N1 0.000 0.241 0.250
N2 0.139 0.090 0.488
```

No. 5
This entry pairs a crystal structure of NiC6N9 with its calculated PXRD pattern. Radiation: Cu Kα (λ = 1.5418 Å). Structure: a GGA-PBE-relaxed structure.

Top 12 peaks for 10° ≤ 2θ ≤ 80°, in order of falling intensity:
2θ 16.0, rel. 100, (0 2 1)
2θ 26.5, rel. 99, (0 2 3)
2θ 14.8, rel. 86, (0 0 2)
2θ 14.2, rel. 79, (0 2 0)
2θ 20.6, rel. 74, (0 2 2)
2θ 28.9, rel. 54, (1 3 2)
2θ 28.6, rel. 37, (0 4 0)
2θ 38.9, rel. 26, (2 4 1)
2θ 39.1, rel. 24, (2 0 4)
2θ 47.9, rel. 21, (2 2 5)
2θ 44.6, rel. 20, (2 4 3)
2θ 25.8, rel. 20, (1 3 1)

Atomic structure:
```
data_NiC6N9
_chemical_formula_sum 'Ni4 C24 N36'
_cell_length_a 7.205
_cell_length_b 12.483
_cell_length_c 11.975
_cell_angle_alpha 90.00
_cell_angle_beta 90.00
_cell_angle_gamma 90.00
_space_group_name_H-M_alt 'C m c m'
_space_group_IT_number 63
_space_group_name_Hall '-C 2c 2'
loop_
_atom_site_label
_atom_site_fract_x
_atom_site_fract_y
_atom_site_fract_z
Ni1 0.000 0.192 0.250
C1 0.159 0.362 0.601
C2 0.160 0.149 0.750
N1 0.000 0.104 0.750
N2 0.000 0.345 0.555
N3 0.186 0.318 0.250
N4 0.189 0.126 0.136
```

No. 6
This entry pairs a crystal structure of NiC2N2 with its calculated PXRD pattern. Radiation: Cu Kα (λ = 1.5418 Å). Structure: a GGA-PBE-relaxed structure.

Top 12 peaks for 10° ≤ 2θ ≤ 80°, in order of falling intensity:
2θ 15.3, rel. 100, (1 0 1)
2θ 23.9, rel. 29, (3 0 1)
2θ 38.5, rel. 27, (4 0 2)
2θ 32.5, rel. 19, (2 1 0)
2θ 33.6, rel. 15, (1 1 1)
2θ 43.4, rel. 15, (2 1 2)
2θ 35.5, rel. 13, (2 1 1)
2θ 46.9, rel. 12, (5 1 1)
2θ 58.2, rel. 8, (6 1 2)
2θ 53.2, rel. 6, (8 0 0)
2θ 45.9, rel. 5, (3 1 2)
2θ 47.1, rel. 5, (3 0 3)

Atomic structure:
```
data_NiC2N2
_chemical_formula_sum 'Ni4 C8 N8'
_cell_length_a 13.794
_cell_length_b 3.009
_cell_length_c 6.372
_cell_angle_alpha 90.00
_cell_angle_beta 90.00
_cell_angle_gamma 90.00
_space_group_name_H-M_alt 'P n m a'
_space_group_IT_number 62
loop_
_space_group_symop_operation_xyz
'x,y,z'
'-x,-y,-z'
'-x+1/2,-y,z+1/2'
'x+1/2,y,-z+1/2'
'x+1/2,-y+1/2,-z+1/2'
'-x+1/2,y+1/2,z+1/2'
'-x,y+1/2,-z'
'x,-y+1/2,z'
loop_
_atom_site_label
_atom_site_fract_x
_atom_site_fract_y
_atom_site_fract_z
Ni1 0.136 0.250 0.029
C1 0.050 0.750 0.168
C2 0.211 0.750 0.872
N1 0.036 0.250 0.816
N2 0.229 0.250 0.242
```